This entry pairs a crystal structure of NaPb2IO6 with its simulated X-ray diffraction stick pattern. Radiation: a wavelength of 1.5418 Å. Structure: DFT lattice parameters and positions (GGA-PBE).

Main lines, sorted by position (10 to 80 degrees two-theta):
Position (°2θ), Rel. int.
21.5, 20
30.5, 100
43.7, 29
54.2, 41
63.5, 18
72.1, 19

a = 8.2847 Å, b = 8.2847 Å, c = 8.2847 Å
α = 90.00°, β = 90.00°, γ = 90.00°
Space group Fm-3m (No. 225)
Asymmetric unit:
1 Na 0.0000 0.0000 0.0000 (multiplicity 4)
2 Pb 0.2500 0.2500 0.2500 (multiplicity 8)
3 I 0.0000 0.0000 0.5000 (multiplicity 4)
4 O 0.0000 0.0000 0.2711 (multiplicity 24)

***

This entry pairs a crystal structure of NaSr2IO6 with its simulated X-ray diffraction stick pattern. Radiation: a wavelength of 1.5418 Å. Structure: DFT lattice parameters and positions (GGA-PBE).

Main lines, sorted by position (10 to 80 degrees two-theta):
Position (°2θ), Rel. int.
18.7, 35
30.8, 100
44.1, 37
54.7, 39
64.1, 22
72.8, 18

a = 8.2194 Å, b = 8.2194 Å, c = 8.2194 Å
α = 90.00°, β = 90.00°, γ = 90.00°
Space group Fm-3m (No. 225)
Asymmetric unit:
1 Na 0.0000 0.0000 0.0000 (multiplicity 4)
2 Sr 0.2500 0.2500 0.2500 (multiplicity 8)
3 I 0.0000 0.0000 0.5000 (multiplicity 4)
4 O 0.0000 0.0000 0.2699 (multiplicity 24)

***

This entry pairs a crystal structure of NaSr2IO6 with its simulated X-ray diffraction stick pattern. Radiation: a wavelength of 1.5418 Å. Structure: DFT lattice parameters and positions (GGA-PBE).

Main lines, sorted by position (10 to 80 degrees two-theta):
Position (°2θ), Rel. int.
18.6, 45
30.4, 19
30.6, 100
43.7, 24
54.1, 13
54.4, 27

a = 5.8398 Å, b = 5.8814 Å, c = 10.1054 Å
α = 90.00°, β = 125.26°, γ = 90.00°
Space group P2_1/c (No. 14)
Asymmetric unit:
1 Na 0.0000 0.0000 0.0000 (multiplicity 2)
2 Sr 0.2565 0.0376 0.7495 (multiplicity 4)
3 I 0.5000 0.0000 0.5000 (multiplicity 2)
4 O 0.2029 0.0234 0.2755 (multiplicity 4)
5 O 0.2728 0.6873 0.0349 (multiplicity 4)
6 O 0.3598 0.2362 0.0413 (multiplicity 4)

***

This entry pairs a crystal structure of Rb2NaPrI6 with its simulated X-ray diffraction stick pattern. Radiation: a wavelength of 1.5418 Å. Structure: DFT lattice parameters and positions (GGA-PBE).

Main lines, sorted by position (10 to 80 degrees two-theta):
Position (°2θ), Rel. int.
24.6, 94
28.5, 100
40.7, 75
48.2, 44
50.5, 27
66.8, 34

a = 12.5298 Å, b = 12.5298 Å, c = 12.5298 Å
α = 90.00°, β = 90.00°, γ = 90.00°
Space group Fm-3m (No. 225)
Asymmetric unit:
1 Rb 0.2500 0.2500 0.2500 (multiplicity 8)
2 Na 0.0000 0.0000 0.0000 (multiplicity 4)
3 Pr 0.0000 0.0000 0.5000 (multiplicity 4)
4 I 0.0000 0.0000 0.2508 (multiplicity 24)

***

This entry pairs a crystal structure of Rb2NaSbI6 with its simulated X-ray diffraction stick pattern. Radiation: a wavelength of 1.5418 Å. Structure: DFT lattice parameters and positions (GGA-PBE).

Main lines, sorted by position (10 to 80 degrees two-theta):
Position (°2θ), Rel. int.
25.0, 100
28.9, 97
41.4, 72
49.0, 46
51.3, 25
67.9, 32

a = 12.3403 Å, b = 12.3403 Å, c = 12.3403 Å
α = 90.00°, β = 90.00°, γ = 90.00°
Space group Fm-3m (No. 225)
Asymmetric unit:
1 Rb 0.2500 0.2500 0.2500 (multiplicity 8)
2 Na 0.0000 0.0000 0.0000 (multiplicity 4)
3 Sb 0.0000 0.0000 0.5000 (multiplicity 4)
4 I 0.0000 0.0000 0.2550 (multiplicity 24)